# Na5B9C
Simulated X-ray diffraction stick pattern, CuKα. Input: the GGA-PBE geometry in Alexandria.
Lines closer than 0.1° are merged.

Structural model:
Unit cell a=8.6393 b=14.9396 c=5.1848 alpha=90.00 beta=90.00 gamma=90.00
Space group Amm2 (No. 38)
Symmetry-distinct sites (fractional):
Na1 0.2473 0.0000 0.0000 [4 per cell]
Na2 0.2504 0.1001 0.5022 [8 per cell]
Na3 0.2507 0.1998 0.0017 [8 per cell]
B1 0.0000 0.0000 0.3304 [2 per cell]
B2 0.0000 0.0000 0.6727 [2 per cell]
B3 0.0000 0.1000 0.1725 [4 per cell]
B4 0.0000 0.1001 0.8302 [4 per cell]
B5 0.0000 0.2000 0.3302 [4 per cell]
B6 0.0000 0.1999 0.6727 [4 per cell]
B7 0.5000 0.0000 0.3432 [2 per cell]
B8 0.5000 0.0000 0.6779 [2 per cell]
B9 0.5000 0.0972 0.1397 [4 per cell]
B10 0.5000 0.1937 0.6767 [4 per cell]
B11 0.5000 0.1993 0.3407 [4 per cell]
C1 0.5000 0.0969 0.8358 [4 per cell]

Largest 6 diffraction maxima, low angle first, 2θ = 10–90°:
hkl 0 0 2, 2θ 34.63, intensity 20.1
hkl 2 5 1, 2θ 40.61, intensity 100.0
hkl 4 0 0, 2θ 41.82, intensity 23.4
hkl 0 10 0, 2θ 62.07, intensity 17.9
hkl 6 5 1, 2θ 75.55, intensity 12.3
hkl 4 10 0, 2θ 77.67, intensity 17.1

=====

# Na10B17C3
Simulated X-ray diffraction stick pattern, CuKα. Input: the GGA-PBE geometry in Alexandria.
Lines closer than 0.1° are merged.

Structural model:
Unit cell a=8.6942 b=2.8183 c=26.7480 alpha=90.00 beta=90.00 gamma=90.00
Space group Amm2 (No. 38)
Symmetry-distinct sites (fractional):
Na1 0.2485 0.0000 0.0000 [4 per cell]
Na2 0.2503 0.0000 0.4005 [4 per cell]
Na3 0.2496 0.0000 0.5999 [4 per cell]
Na4 0.2510 0.0000 0.2002 [4 per cell]
Na5 0.2508 0.0000 0.8002 [4 per cell]
B1 0.0000 0.0000 0.0712 [2 per cell]
B2 0.0000 0.0000 0.2699 [2 per cell]
B3 0.0000 0.0000 0.3328 [2 per cell]
B4 0.0000 0.0000 0.4649 [2 per cell]
B5 0.0000 0.0000 0.5310 [2 per cell]
B6 0.0000 0.0000 0.6616 [2 per cell]
B7 0.0000 0.0000 0.7274 [2 per cell]
B8 0.0000 0.0000 0.8754 [2 per cell]
B9 0.5000 0.0000 0.0687 [2 per cell]
B10 0.5000 0.0000 0.1310 [2 per cell]
B11 0.5000 0.0000 0.2729 [2 per cell]
B12 0.5000 0.0000 0.3380 [2 per cell]
B13 0.5000 0.0000 0.4654 [2 per cell]
B14 0.5000 0.0000 0.5279 [2 per cell]
B15 0.5000 0.0000 0.6711 [2 per cell]
B16 0.5000 0.0000 0.7345 [2 per cell]
B17 0.5000 0.0000 0.9260 [2 per cell]
C1 0.0000 0.0000 0.1308 [2 per cell]
C2 0.0000 0.0000 0.9336 [2 per cell]
C3 0.5000 0.0000 0.8675 [2 per cell]

Largest 6 diffraction maxima, low angle first, 2θ = 10–90°:
hkl 0 1 5, 2θ 36.02, intensity 16.5
hkl 2 0 10, 2θ 39.56, intensity 49.7
hkl 4 0 0, 2θ 41.55, intensity 37.3
hkl 2 1 5, 2θ 41.76, intensity 100.0
hkl 0 1 15, 2θ 61.54, intensity 18.3
hkl 4 1 15, 2θ 77.00, intensity 17.4

=====

# Na10B13C7
Simulated X-ray diffraction stick pattern, CuKα. Input: the GGA-PBE geometry in Alexandria.
Lines closer than 0.1° are merged.

Structural model:
Unit cell a=22.8872 b=2.8263 c=9.9245 alpha=90.00 beta=107.57 gamma=90.00
Space group Cm (No. 8)
Symmetry-distinct sites (fractional):
Na1 0.0000 0.0000 0.0000 [2 per cell]
Na2 0.0014 0.5000 0.4928 [2 per cell]
Na3 0.1002 0.5000 0.2019 [2 per cell]
Na4 0.1014 0.0000 0.6987 [2 per cell]
Na5 0.2013 0.0000 0.4008 [2 per cell]
Na6 0.2018 0.5000 0.9012 [2 per cell]
Na7 0.3004 0.5000 0.5995 [2 per cell]
Na8 0.3012 0.0000 0.0995 [2 per cell]
Na9 0.3988 0.0000 0.8005 [2 per cell]
Na10 0.4001 0.5000 0.2965 [2 per cell]
B1 0.0106 0.0000 0.2700 [2 per cell]
B2 0.0161 0.5000 0.7820 [2 per cell]
B3 0.0816 0.5000 0.9116 [2 per cell]
B4 0.0832 0.0000 0.4119 [2 per cell]
B5 0.1243 0.0000 0.9972 [2 per cell]
B6 0.1238 0.5000 0.4930 [2 per cell]
B7 0.1928 0.0000 0.1324 [2 per cell]
B8 0.2199 0.0000 0.6860 [2 per cell]
B9 0.2870 0.5000 0.3213 [2 per cell]
B10 0.3164 0.5000 0.8816 [2 per cell]
B11 0.3808 0.0000 0.5093 [2 per cell]
B12 0.4131 0.0000 0.0764 [2 per cell]
B13 0.4733 0.5000 0.6951 [2 per cell]
C1 0.1879 0.5000 0.6207 [2 per cell]
C2 0.2239 0.5000 0.1932 [2 per cell]
C3 0.2846 0.0000 0.8168 [2 per cell]
C4 0.3180 0.0000 0.3837 [2 per cell]
C5 0.3811 0.5000 0.0130 [2 per cell]
C6 0.4126 0.5000 0.5732 [2 per cell]
C7 0.4786 0.0000 0.2074 [2 per cell]

Largest 6 diffraction maxima, low angle first, 2θ = 10–90°:
hkl 3 1 1, 2θ 36.39, intensity 17.1
hkl 2 0 4, 2θ 41.41, intensity 49.6
hkl 7 1 -1, 2θ 42.29, intensity 100.0
hkl 8 0 -4, 2θ 42.35, intensity 38.3
hkl 9 1 3, 2θ 64.18, intensity 16.8
hkl 9 1 -7, 2θ 77.42, intensity 12.6

=====

# Na5B8C2
Simulated X-ray diffraction stick pattern, CuKα. Input: the GGA-PBE geometry in Alexandria.
Lines closer than 0.1° are merged.

Structural model:
Unit cell a=14.5946 b=5.1254 c=10.4292 alpha=90.00 beta=123.99 gamma=90.00
Space group C2 (No. 5)
Symmetry-distinct sites (fractional):
Na1 0.0003 0.0000 0.2498 [4 per cell]
Na2 0.0998 0.5009 0.2498 [4 per cell]
Na3 0.1006 0.4975 0.7510 [4 per cell]
Na4 0.1999 0.9995 0.2498 [4 per cell]
Na5 0.1995 0.9999 0.7487 [4 per cell]
B1 0.0000 0.1759 0.0000 [2 per cell]
B2 0.0000 0.1762 0.5000 [2 per cell]
B3 0.0000 0.8284 0.0000 [2 per cell]
B4 0.0000 0.8432 0.5000 [2 per cell]
B5 0.0976 0.6370 0.5009 [4 per cell]
B6 0.1012 0.6660 0.9998 [4 per cell]
B7 0.1084 0.3193 0.9995 [4 per cell]
B8 0.1947 0.1738 0.5003 [4 per cell]
B9 0.1985 0.8393 0.5006 [4 per cell]
B10 0.2059 0.8403 0.9998 [4 per cell]
C1 0.0976 0.3331 0.5007 [4 per cell]
C2 0.2018 0.1600 0.9991 [4 per cell]

Largest 6 diffraction maxima, low angle first, 2θ = 10–90°:
hkl 5 1 -2, 2θ 35.39, intensity 18.6
hkl 0 2 2, 2θ 40.94, intensity 49.5
hkl 5 1 0, 2θ 41.27, intensity 100.0
hkl 0 0 4, 2θ 41.78, intensity 37.0
hkl 5 3 -2, 2θ 63.05, intensity 17.5
hkl 5 3 2, 2θ 78.54, intensity 22.4

=====

# Na5B8C2
Simulated X-ray diffraction stick pattern, CuKα. Input: the GGA-PBE geometry in Alexandria.
Lines closer than 0.1° are merged.

Structural model:
Unit cell a=18.0891 b=2.8207 c=13.6738 alpha=90.00 beta=112.45 gamma=90.00
Space group Cm (No. 8)
Symmetry-distinct sites (fractional):
Na1 0.0000 0.0000 0.0000 [2 per cell]
Na2 0.9998 0.0000 0.4951 [2 per cell]
Na3 0.0976 0.5000 0.6944 [2 per cell]
Na4 0.0990 0.5000 0.2006 [2 per cell]
Na5 0.1981 0.0000 0.3971 [2 per cell]
Na6 0.1996 0.0000 0.8992 [2 per cell]
Na7 0.2995 0.5000 0.5924 [2 per cell]
Na8 0.3009 0.5000 0.1001 [2 per cell]
Na9 0.4003 0.0000 0.2982 [2 per cell]
Na10 0.3998 0.0000 0.7959 [2 per cell]
B1 0.0282 0.0000 0.3058 [2 per cell]
B2 0.0299 0.0000 0.8069 [2 per cell]
B3 0.0687 0.5000 0.3853 [2 per cell]
B4 0.0722 0.5000 0.8940 [2 per cell]
B5 0.1345 0.5000 0.0201 [2 per cell]
B6 0.1349 0.5000 0.5160 [2 per cell]
B7 0.1763 0.0000 0.1031 [2 per cell]
B8 0.2246 0.0000 0.6957 [2 per cell]
B9 0.2668 0.5000 0.2823 [2 per cell]
B10 0.2670 0.5000 0.7816 [2 per cell]
B11 0.3295 0.5000 0.9078 [2 per cell]
B12 0.3586 0.0000 0.4646 [2 per cell]
B13 0.3712 0.0000 0.9924 [2 per cell]
B14 0.4258 0.0000 0.5981 [2 per cell]
B15 0.4366 0.0000 0.1243 [2 per cell]
B16 0.4662 0.5000 0.6791 [2 per cell]
C1 0.1668 0.0000 0.5790 [2 per cell]
C2 0.2359 0.0000 0.2205 [2 per cell]
C3 0.3280 0.5000 0.4041 [2 per cell]
C4 0.4673 0.5000 0.1862 [2 per cell]

Largest 6 diffraction maxima, low angle first, 2θ = 10–90°:
hkl 1 1 2, 2θ 36.10, intensity 16.4
hkl 2 0 -6, 2θ 39.95, intensity 24.3
hkl 6 0 2, 2θ 40.04, intensity 24.3
hkl 8 0 -4, 2θ 41.73, intensity 37.4
hkl 5 1 0, 2θ 41.88, intensity 100.0
hkl 3 1 6, 2θ 62.15, intensity 17.4

=====

# Na10B13C7
Simulated X-ray diffraction stick pattern, CuKα. Input: the GGA-PBE geometry in Alexandria.
Lines closer than 0.1° are merged.

Structural model:
Unit cell a=17.7583 b=2.8405 c=13.2170 alpha=90.00 beta=113.53 gamma=90.00
Space group Cm (No. 8)
Symmetry-distinct sites (fractional):
Na1 0.0000 0.0000 0.0000 [2 per cell]
Na2 0.0009 0.0000 0.5010 [2 per cell]
Na3 0.1002 0.5000 0.1988 [2 per cell]
Na4 0.1013 0.5000 0.7022 [2 per cell]
Na5 0.1989 0.0000 0.4014 [2 per cell]
Na6 0.2013 0.0000 0.9012 [2 per cell]
Na7 0.2994 0.5000 0.0997 [2 per cell]
Na8 0.3016 0.5000 0.6015 [2 per cell]
Na9 0.3998 0.0000 0.2993 [2 per cell]
Na10 0.4006 0.0000 0.8016 [2 per cell]
B1 0.0274 0.0000 0.3049 [2 per cell]
B2 0.0673 0.5000 0.3859 [2 per cell]
B3 0.0674 0.5000 0.8840 [2 per cell]
B4 0.1400 0.5000 0.5302 [2 per cell]
B5 0.1619 0.0000 0.0729 [2 per cell]
B6 0.2314 0.0000 0.2118 [2 per cell]
B7 0.2371 0.0000 0.7246 [2 per cell]
B8 0.2697 0.5000 0.2897 [2 per cell]
B9 0.3343 0.5000 0.9183 [2 per cell]
B10 0.3637 0.0000 0.4786 [2 per cell]
B11 0.4317 0.0000 0.1119 [2 per cell]
B12 0.4335 0.0000 0.6169 [2 per cell]
B13 0.4733 0.5000 0.6965 [2 per cell]
C1 0.0362 0.0000 0.8217 [2 per cell]
C2 0.1313 0.5000 0.0118 [2 per cell]
C3 0.1719 0.0000 0.5932 [2 per cell]
C4 0.2685 0.5000 0.7882 [2 per cell]
C5 0.3324 0.5000 0.4168 [2 per cell]
C6 0.3667 0.0000 0.9820 [2 per cell]
C7 0.4640 0.5000 0.1764 [2 per cell]

Largest 6 diffraction maxima, low angle first, 2θ = 10–90°:
hkl 1 1 2, 2θ 36.27, intensity 17.7
hkl 6 0 2, 2θ 41.55, intensity 50.9
hkl 5 1 0, 2θ 42.22, intensity 100.0
hkl 8 0 -4, 2θ 42.48, intensity 38.2
hkl 3 1 6, 2θ 64.26, intensity 17.4
hkl 11 1 2, 2θ 80.11, intensity 16.8